Starting from a DFT-relaxed cell (PBE+U, the Materials Project), the powder X-ray diffraction pattern of CaMo2O5 was calculated for CuKα.

abc: 3.583 13.018 5.259
angles: 90.00 90.00 90.00
Fractional coordinates of all 16 atoms:
Ca: 0.250 0.250 0.054
Ca: 0.750 0.750 0.946
Mo: 0.250 0.606 0.465
Mo: 0.250 0.894 0.465
Mo: 0.750 0.106 0.535
Mo: 0.750 0.394 0.535
O: 0.250 0.067 0.389
O: 0.250 0.433 0.389
O: 0.250 0.641 0.125
O: 0.250 0.750 0.631
O: 0.250 0.859 0.125
O: 0.750 0.141 0.875
O: 0.750 0.250 0.369
O: 0.750 0.359 0.875
O: 0.750 0.567 0.611
O: 0.750 0.933 0.611

The 10 most intense peaks (5° ≤ 2θ ≤ 70°), sorted by position:
2θ = 16.86°, I = 100; 2θ = 21.73°, I = 39; 2θ = 25.79°, I = 31; 2θ = 27.41°, I = 25; 2θ = 30.97°, I = 65; 2θ = 32.38°, I = 98; 2θ = 34.10°, I = 29; 2θ = 47.75°, I = 34; 2θ = 50.98°, I = 19; 2θ = 58.62°, I = 38

Starting from a DFT-relaxed cell (PBE+U, the Materials Project), the powder X-ray diffraction pattern of CaMoO4 was calculated for CuKα.

abc: 6.908 6.908 6.908
angles: 134.79 134.79 65.86
Fractional coordinates of all 12 atoms:
Ca: 0.375 0.125 0.250
Ca: 0.625 0.875 0.750
Mo: 0.125 0.375 0.750
Mo: 0.875 0.625 0.250
O: 0.061 0.214 0.357
O: 0.204 0.561 0.348
O: 0.286 0.143 0.848
O: 0.357 0.704 0.143
O: 0.643 0.296 0.857
O: 0.714 0.857 0.152
O: 0.796 0.439 0.652
O: 0.939 0.786 0.643

The 10 most intense peaks (5° ≤ 2θ ≤ 70°), sorted by position:
2θ = 18.37°, I = 29; 2θ = 28.31°, I = 100; 2θ = 28.56°, I = 14; 2θ = 30.84°, I = 11; 2θ = 33.75°, I = 15; 2θ = 46.37°, I = 32; 2θ = 48.48°, I = 13; 2θ = 53.31°, I = 15; 2θ = 57.10°, I = 25; 2θ = 58.57°, I = 10

Starting from a DFT-relaxed cell (PBE+U, the Materials Project), the powder X-ray diffraction pattern of CaMoO4 was calculated for CuKα.

abc: 5.326 5.708 6.067
angles: 112.88 94.07 94.35
Fractional coordinates of all 12 atoms:
Ca: 0.248 0.086 0.217
Ca: 0.752 0.914 0.783
Mo: 0.228 0.427 0.839
Mo: 0.772 0.573 0.161
O: 0.003 0.285 0.024
O: 0.128 0.024 0.572
O: 0.129 0.465 0.523
O: 0.496 0.736 0.022
O: 0.504 0.264 0.978
O: 0.871 0.535 0.477
O: 0.872 0.976 0.428
O: 0.997 0.715 0.976

The 10 most intense peaks (5° ≤ 2θ ≤ 70°), sorted by position:
2θ = 15.95°, I = 100; 2θ = 16.97°, I = 68; 2θ = 18.12°, I = 67; 2θ = 24.69°, I = 75; 2θ = 24.92°, I = 49; 2θ = 25.30°, I = 59; 2θ = 30.52°, I = 77; 2θ = 33.62°, I = 77; 2θ = 34.48°, I = 68; 2θ = 35.25°, I = 58

Starting from a DFT-relaxed cell (PBE+U, the Materials Project), the powder X-ray diffraction pattern of Ca2Mo3O8 was calculated for CuKα.

abc: 6.571 6.571 5.030
angles: 104.11 104.11 53.46
Fractional coordinates of all 13 atoms:
Ca: 0.225 0.225 0.171
Ca: 0.775 0.775 0.829
Mo: 0.271 0.729 0.500
Mo: 0.500 0.500 0.000
Mo: 0.729 0.271 0.500
O: 0.090 0.090 0.413
O: 0.156 0.623 0.111
O: 0.376 0.376 0.588
O: 0.377 0.844 0.889
O: 0.623 0.156 0.111
O: 0.624 0.624 0.412
O: 0.844 0.377 0.889
O: 0.910 0.910 0.587

The 10 most intense peaks (5° ≤ 2θ ≤ 70°), sorted by position:
2θ = 15.69°, I = 100; 2θ = 16.93°, I = 37; 2θ = 26.61°, I = 21; 2θ = 29.89°, I = 19; 2θ = 31.69°, I = 18; 2θ = 35.59°, I = 22; 2θ = 36.90°, I = 42; 2θ = 37.16°, I = 17; 2θ = 44.62°, I = 58; 2θ = 51.93°, I = 25